KSr2VO4: theoretical powder diffraction line list (Cu Ka), based on the PBE+U geometry in Alexandria.
Lines closer than 0.1° are merged.

```
KSr2VO4
1.0
1.8825 -6.3096 0.0000
1.8825 6.3096 0.0000
0.0000 0.0000 12.5930
K Sr V O
2 4 2 8
Direct
0.0912 0.9088 0.7500
0.9088 0.0912 0.2500
0.3712 0.6288 0.5394
0.3712 0.6288 0.9606
0.6288 0.3712 0.0394
0.6288 0.3712 0.4606
0.1913 0.8087 0.2500
0.8087 0.1913 0.7500
0.0000 0.0000 0.0000
0.0000 0.0000 0.5000
0.2503 0.7497 0.1143
0.2503 0.7497 0.3857
0.3652 0.6348 0.7500
0.6348 0.3652 0.2500
0.7497 0.2503 0.6143
0.7497 0.2503 0.8857
```

Principal peaks in the range 10° ≤ 2θ ≤ 80°, sorted by position:
- 2θ = 14.05°, rel. 52.5
- 2θ = 28.32°, rel. 92.7
- 2θ = 28.51°, rel. 100.0
- 2θ = 32.71°, rel. 81.4
- 2θ = 35.02°, rel. 98.6
- 2θ = 48.56°, rel. 57.1